The following is a theoretical powder XRD pattern of CdRe4. It was derived from a GGA-PBE-relaxed structure, using CuKα.

Principal peaks in the range 10° ≤ 2θ ≤ 80°, low angle first:
hkl 1 0 0, 2θ 18.97, I 11; hkl 1 1 0, 2θ 26.96, I 9; hkl 1 1 1, 2θ 33.18, I 100; hkl 2 0 0, 2θ 38.49, I 95; hkl 2 1 0, 2θ 43.25, I 5; hkl 2 1 1, 2θ 47.62, I 4; hkl 2 2 0, 2θ 55.57, I 66; hkl 3 0 0, 2θ 59.27, I 2; hkl 3 1 0, 2θ 62.83, I 2; hkl 3 1 1, 2θ 66.28, I 42; hkl 2 2 2, 2θ 69.64, I 22; hkl 3 2 1, 2θ 76.15, I 2

Crystal structure
a b c (Å): 4.6772 4.6772 4.6772
angles (deg): 90.00 90.00 90.00
Space group Pm-3m (No. 221)
Inequivalent atoms, fractional coordinates:
1 Cd 0.0000 0.0000 0.0000 (multiplicity 1)
2 Re 0.0000 0.0000 0.5000 (multiplicity 3)
3 Re 0.5000 0.5000 0.5000 (multiplicity 1)

The following is a theoretical powder XRD pattern of Ti2MnPt9. It was derived from a GGA-PBE-relaxed structure, using CuKα.

Principal peaks in the range 10° ≤ 2θ ≤ 80°, low angle first:
hkl 1 0 0, 2θ 22.55, I 16; hkl 1 1 0, 2θ 32.10, I 13; hkl 1 1 3, 2θ 39.59, I 100; hkl 2 0 0, 2θ 46.04, I 49; hkl 1 0 6, 2θ 51.85, I 7; hkl 2 1 3, 2θ 57.23, I 6; hkl 2 2 0, 2θ 67.15, I 32; hkl 2 1 6, 2θ 71.83, I 4; hkl 1 0 9, 2θ 76.38, I 3

Crystal structure
a b c (Å): 3.9436 3.9436 11.8251
angles (deg): 90.00 90.00 90.00
Space group P4/mmm (No. 123)
Inequivalent atoms, fractional coordinates:
1 Ti 0.0000 0.0000 0.1715 (multiplicity 2)
2 Mn 0.0000 0.0000 0.5000 (multiplicity 1)
3 Pt 0.0000 0.5000 0.0000 (multiplicity 2)
4 Pt 0.0000 0.5000 0.3304 (multiplicity 4)
5 Pt 0.5000 0.5000 0.1654 (multiplicity 2)
6 Pt 0.5000 0.5000 0.5000 (multiplicity 1)

The following is a theoretical powder XRD pattern of LiInSb. It was derived from a GGA-PBE-relaxed structure, using CuKα.

Principal peaks in the range 10° ≤ 2θ ≤ 80°, low angle first:
hkl 1 0 0, 2θ 18.44, I 57; hkl 1 0 1, 2θ 22.11, I 87; hkl 1 0 2, 2θ 30.69, I 33; hkl 1 1 2, 2θ 36.04, I 100; hkl 2 0 0, 2θ 37.38, I 45; hkl 1 0 3, 2θ 41.49, I 17; hkl 2 1 0, 2θ 41.99, I 14; hkl 2 1 1, 2θ 43.85, I 28; hkl 2 1 2, 2θ 49.11, I 17; hkl 2 2 0, 2θ 53.90, I 15; hkl 2 0 4, 2θ 63.91, I 18; hkl 3 1 2, 2θ 66.56, I 32

Crystal structure
a b c (Å): 4.8115 4.8115 7.3204
angles (deg): 90.00 90.00 90.00
Space group P4_2/mmc (No. 131)
Inequivalent atoms, fractional coordinates:
1 Li 0.0000 0.0000 0.2500 (multiplicity 2)
2 In 0.5000 0.5000 0.2500 (multiplicity 2)
3 Sb 0.0000 0.5000 0.0000 (multiplicity 2)

The following is a theoretical powder XRD pattern of La3Pm2Tl. It was derived from a GGA-PBE-relaxed structure, using CuKα.

Principal peaks in the range 10° ≤ 2θ ≤ 80°, low angle first:
hkl 1 3 1, 2θ 30.24, I 100; hkl 0 6 0, 2θ 34.24, I 18; hkl 2 0 0, 2θ 35.37, I 17; hkl 0 0 2, 2θ 35.57, I 16; hkl 2 6 0, 2θ 50.05, I 12; hkl 0 6 2, 2θ 50.20, I 12; hkl 2 0 2, 2θ 51.03, I 12; hkl 1 9 1, 2θ 58.85, I 15; hkl 3 3 1, 2θ 60.34, I 14; hkl 1 3 3, 2θ 60.61, I 14; hkl 2 6 2, 2θ 62.90, I 12; hkl 0 12 0, 2θ 72.14, I 2

Crystal structure
a b c (Å): 5.0758 15.7120 5.0478
angles (deg): 90.00 90.00 90.00
Space group Cmmm (No. 65)
Inequivalent atoms, fractional coordinates:
1 La 0.0000 0.0000 0.0000 (multiplicity 2)
2 La 0.0000 0.3359 0.0000 (multiplicity 4)
3 Pm 0.0000 0.1646 0.5000 (multiplicity 4)
4 Tl 0.0000 0.5000 0.5000 (multiplicity 2)

The following is a theoretical powder XRD pattern of Ac12Zn5In. It was derived from a GGA-PBE-relaxed structure, using CuKα.

Principal peaks in the range 10° ≤ 2θ ≤ 80°, low angle first:
hkl 2 0 2, 2θ 23.00, I 26; hkl 0 1 3, 2θ 24.37, I 23; hkl 0 3 1, 2θ 25.85, I 28; hkl 3 1 0, 2θ 27.14, I 29; hkl 2 2 2, 2θ 28.37, I 100; hkl 2 1 3, 2θ 29.95, I 56; hkl 1 3 2, 2θ 30.40, I 58; hkl 2 3 1, 2θ 31.19, I 49; hkl 4 0 0, 2θ 34.68, I 27; hkl 0 2 4, 2θ 35.02, I 21; hkl 2 5 3, 2θ 51.46, I 21; hkl 5 3 2, 2θ 53.43, I 38

Crystal structure
a b c (Å): 10.3463 10.8250 11.6375
angles (deg): 90.00 90.00 90.00
Space group Immm (No. 71)
Inequivalent atoms, fractional coordinates:
1 Ac 0.0000 0.1883 0.2344 (multiplicity 8)
2 Ac 0.1977 0.5000 0.1731 (multiplicity 8)
3 Ac 0.2235 0.3208 0.5000 (multiplicity 8)
4 Zn 0.0000 0.0000 0.0000 (multiplicity 2)
5 Zn 0.0000 0.3465 0.0000 (multiplicity 4)
6 Zn 0.0000 0.5000 0.3852 (multiplicity 4)
7 In 0.0000 0.0000 0.5000 (multiplicity 2)

The following is a theoretical powder XRD pattern of SrAgTe2Se4. It was derived from a GGA-PBE-relaxed structure, using CuKα.

Principal peaks in the range 10° ≤ 2θ ≤ 80°, low angle first:
hkl 0 0 2, 2θ 23.45, I 12; hkl 2 1 1, 2θ 28.60, I 15; hkl 1 1 2, 2θ 28.73, I 100; hkl 2 2 0, 2θ 33.09, I 70; hkl 3 1 2, 2θ 44.37, I 71; hkl 4 0 0, 2θ 47.49, I 20; hkl 4 1 1, 2θ 50.59, I 10; hkl 2 0 4, 2θ 53.94, I 15; hkl 2 2 4, 2θ 59.50, I 10; hkl 5 1 2, 2θ 67.01, I 13; hkl 4 2 4, 2θ 74.67, I 12; hkl 5 3 2, 2θ 76.79, I 21

Crystal structure
a b c (Å): 7.6581 7.6581 7.5879
angles (deg): 90.00 90.00 90.00
Space group I-42m (No. 121)
Inequivalent atoms, fractional coordinates:
1 Sr 0.0000 0.0000 0.0000 (multiplicity 2)
2 Ag 0.0000 0.0000 0.5000 (multiplicity 2)
3 Te 0.0000 0.5000 0.2500 (multiplicity 4)
4 Se 0.2107 0.2107 0.6851 (multiplicity 8)

The following is a theoretical powder XRD pattern of BaAl4Mo. It was derived from a GGA-PBE-relaxed structure, using CuKα.

Principal peaks in the range 10° ≤ 2θ ≤ 80°, low angle first:
hkl 1 1 1, 2θ 19.66, I 45; hkl 2 0 0, 2θ 22.74, I 2; hkl 2 2 0, 2θ 32.38, I 88; hkl 3 1 1, 2θ 38.17, I 100; hkl 2 2 2, 2θ 39.94, I 8; hkl 4 0 0, 2θ 46.45, I 4; hkl 3 3 1, 2θ 50.90, I 11; hkl 4 2 2, 2θ 57.76, I 32; hkl 5 1 1, 2θ 61.63, I 32; hkl 4 4 0, 2θ 67.79, I 22; hkl 5 3 1, 2θ 71.36, I 8; hkl 6 2 0, 2θ 77.14, I 14

Crystal structure
a b c (Å): 7.8199 7.8199 7.8199
angles (deg): 90.00 90.00 90.00
Space group F-43m (No. 216)
Inequivalent atoms, fractional coordinates:
1 Ba 0.0000 0.0000 0.0000 (multiplicity 4)
2 Al 0.1238 0.1238 0.3762 (multiplicity 16)
3 Mo 0.2500 0.2500 0.7500 (multiplicity 4)

The following is a theoretical powder XRD pattern of Sr2TaRe. It was derived from a GGA-PBE-relaxed structure, using CuKα.

Principal peaks in the range 10° ≤ 2θ ≤ 80°, low angle first:
hkl 0 0 2, 2θ 16.19, I 18; hkl 0 1 1, 2θ 17.43, I 54; hkl 0 1 3, 2θ 28.98, I 16; hkl 0 2 0, 2θ 31.14, I 42; hkl 1 1 2, 2θ 33.63, I 100; hkl 1 0 3, 2θ 35.00, I 19; hkl 1 1 4, 2θ 44.46, I 15; hkl 1 2 3, 2θ 47.54, I 17; hkl 1 0 5, 2θ 48.66, I 14; hkl 1 3 2, 2θ 57.01, I 22; hkl 1 2 5, 2θ 58.91, I 16; hkl 2 2 0, 2θ 60.71, I 13

Crystal structure
a b c (Å): 3.6011 5.7447 10.9505
angles (deg): 90.00 90.00 90.00
Space group Imm2 (No. 44)
Inequivalent atoms, fractional coordinates:
1 Sr 0.0000 0.0000 0.0000 (multiplicity 2)
2 Sr 0.0000 0.5000 0.2040 (multiplicity 2)
3 Ta 0.0000 0.5000 0.7963 (multiplicity 2)
4 Re 0.0000 0.0000 0.4478 (multiplicity 2)

The following is a theoretical powder XRD pattern of K3HgP. It was derived from a GGA-PBE-relaxed structure, using CuKα.

Principal peaks in the range 10° ≤ 2θ ≤ 80°, low angle first:
hkl 0 0 1, 2θ 11.57, I 45; hkl 0 1 1, 2θ 15.21, I 35; hkl 1 1 0, 2θ 19.54, I 70; hkl 0 2 0, 2θ 19.73, I 47; hkl 1 1 1, 2θ 22.77, I 86; hkl 0 2 1, 2θ 22.94, I 40; hkl 0 1 2, 2θ 25.31, I 30; hkl 1 2 1, 2θ 28.60, I 100; hkl 1 1 2, 2θ 30.56, I 49; hkl 2 0 0, 2θ 34.07, I 39; hkl 1 3 0, 2θ 34.42, I 35; hkl 0 1 3, 2θ 36.65, I 32

Crystal structure
a b c (Å): 5.2631 8.9974 7.6458
angles (deg): 90.00 90.00 90.00
Space group Pmmn (No. 59, origin choice 2)
Inequivalent atoms, fractional coordinates:
1 K 0.2500 0.0364 0.2085 (multiplicity 4)
2 K 0.2500 0.2500 0.7862 (multiplicity 2)
3 Hg 0.2500 0.7500 0.5819 (multiplicity 2)
4 P 0.2500 0.7500 0.9195 (multiplicity 2)

The following is a theoretical powder XRD pattern of MgH8N2F4. It was derived from a GGA-PBE-relaxed structure, using CuKα.

Principal peaks in the range 10° ≤ 2θ ≤ 80°, low angle first:
hkl 1 0 0, 2θ 12.65, I 100; hkl 0 1 1, 2θ 22.42, I 22; hkl 1 1 -1, 2θ 22.83, I 39; hkl 0 2 0, 2θ 30.68, I 25; hkl 1 0 -2, 2θ 31.08, I 26; hkl 1 2 0, 2θ 33.31, I 15; hkl 3 0 0, 2θ 38.60, I 49; hkl 1 0 2, 2θ 39.61, I 17; hkl 2 2 0, 2θ 40.28, I 23; hkl 1 2 -2, 2θ 44.24, I 75; hkl 3 1 1, 2θ 50.09, I 17; hkl 2 2 2, 2θ 59.04, I 19

Crystal structure
a b c (Å): 7.4491 5.8277 5.7617
angles (deg): 90.00 110.05 90.00
Space group P2_1/c (No. 14)
Inequivalent atoms, fractional coordinates:
1 Mg 0.0000 0.0000 0.0000 (multiplicity 2)
2 H 0.2213 0.0925 0.6923 (multiplicity 4)
3 H 0.2934 0.6800 0.1594 (multiplicity 4)
4 H 0.2955 0.0203 0.4543 (multiplicity 4)
5 H 0.4598 0.0300 0.7442 (multiplicity 4)
6 N 0.3183 0.5055 0.1408 (multiplicity 4)
7 F 0.0262 0.2293 0.7413 (multiplicity 4)
8 F 0.2867 0.5323 0.6468 (multiplicity 4)

The following is a theoretical powder XRD pattern of PaSi3Ni10. It was derived from a GGA-PBE-relaxed structure, using CuKα.

Principal peaks in the range 10° ≤ 2θ ≤ 80°, low angle first:
hkl 2 0 0, 2θ 15.64, I 66; hkl 2 2 0, 2θ 22.19, I 11; hkl 2 2 2, 2θ 27.27, I 18; hkl 4 2 0, 2θ 35.43, I 100; hkl 4 2 2, 2θ 38.94, I 62; hkl 3 3 3, 2θ 41.41, I 74; hkl 4 4 0, 2θ 45.28, I 62; hkl 5 3 1, 2θ 47.48, I 38; hkl 6 2 2, 2θ 53.66, I 50; hkl 6 4 4, 2θ 68.26, I 29; hkl 6 6 0, 2θ 70.53, I 40; hkl 6 6 2, 2θ 72.77, I 14

Crystal structure
a b c (Å): 11.3298 11.3298 11.3298
angles (deg): 90.00 90.00 90.00
Space group Fm-3m (No. 225)
Inequivalent atoms, fractional coordinates:
1 Pa 0.2500 0.2500 0.2500 (multiplicity 8)
2 Si 0.0000 0.0000 0.2388 (multiplicity 24)
3 Ni 0.0000 0.1770 0.3230 (multiplicity 48)
4 Ni 0.1166 0.1166 0.1166 (multiplicity 32)

The following is a theoretical powder XRD pattern of Rb2HfHgBr6. It was derived from a GGA-PBE-relaxed structure, using CuKα.

Principal peaks in the range 10° ≤ 2θ ≤ 80°, low angle first:
hkl 1 0 1, 2θ 13.45, I 37; hkl 0 1 2, 2θ 13.70, I 100; hkl 0 1 5, 2θ 15.35, I 30; hkl 1 0 10, 2θ 20.19, I 34; hkl 1 1 0, 2θ 23.25, I 54; hkl 0 0 18, 2θ 27.31, I 34; hkl 0 2 7, 2θ 28.97, I 98; hkl 1 1 12, 2θ 29.63, I 74; hkl 2 0 11, 2θ 31.78, I 92; hkl 2 0 14, 2θ 34.48, I 27; hkl 2 2 0, 2θ 47.54, I 58; hkl 2 2 18, 2θ 55.69, I 26

Crystal structure
a b c (Å): 7.6512 7.6512 58.7871
angles (deg): 90.00 90.00 120.00
Space group R-3m (No. 166, hexagonal axes)
Inequivalent atoms, fractional coordinates:
1 Rb 0.0000 0.0000 0.1451 (multiplicity 6)
2 Rb 0.0000 0.0000 0.3120 (multiplicity 6)
3 Hf 0.0000 0.0000 0.0000 (multiplicity 3)
4 Hf 0.0000 0.0000 0.5000 (multiplicity 3)
5 Hg 0.0000 0.0000 0.4158 (multiplicity 6)
6 Br 0.0106 0.5053 0.1407 (multiplicity 18)
7 Br 0.0109 0.5054 0.6927 (multiplicity 18)